1.
# KSnPS4
Calculated X-ray diffraction stick pattern, λ = 1.5418 Å (Cu Kα). Input: a DFT-relaxed cell (PBE, the Materials Project).
Lines closer than 0.1° are merged.

Structure:
```
data_KSnPS4
_chemical_formula_sum 'K4 Sn4 P4 S16'
_cell_length_a 6.9159
_cell_length_b 12.2958
_cell_length_c 11.1261
_cell_angle_alpha 90.00
_cell_angle_beta 126.32
_cell_angle_gamma 90.00
_space_group_name_H-M_alt 'P 1'
_space_group_IT_number 1
loop_
_space_group_symop_operation_xyz
'x,y,z'
loop_
_atom_site_label
_atom_site_type_symbol
_atom_site_fract_x
_atom_site_fract_y
_atom_site_fract_z
K1 K 0.1315 0.1008 0.3704
K2 K 0.1315 0.3992 0.8704
K3 K 0.8685 0.6008 0.1296
K4 K 0.8685 0.8992 0.6296
Sn1 Sn 0.4308 0.6296 0.6148
Sn2 Sn 0.4308 0.8704 0.1148
Sn3 Sn 0.5692 0.1296 0.8852
Sn4 Sn 0.5692 0.3704 0.3852
P1 P 0.4046 0.1602 0.1300
P2 P 0.4046 0.3398 0.6300
P3 P 0.5954 0.6602 0.3700
P4 P 0.5954 0.8398 0.8700
S1 S 0.1702 0.2503 0.1445
S2 S 0.1702 0.2497 0.6445
S3 S 0.2199 0.0778 0.9280
S4 S 0.2199 0.4222 0.4280
S5 S 0.3523 0.7384 0.8562
S6 S 0.3523 0.7616 0.3562
S7 S 0.4252 0.5462 0.1996
S8 S 0.4252 0.9538 0.6996
S9 S 0.5748 0.0462 0.3004
S10 S 0.5748 0.4538 0.8004
S11 S 0.6477 0.2384 0.6438
S12 S 0.6477 0.2616 0.1438
S13 S 0.7801 0.5778 0.5720
S14 S 0.7801 0.9222 0.0720
S15 S 0.8298 0.7503 0.3555
S16 S 0.8298 0.7497 0.8555
```

Peak list (6 most intense, 10° ≤ 2θ ≤ 90°, in order of rising 2θ)
2theta  I_rel
12.22  74
15.90  87
29.53  100
32.01  39
32.97  34
39.22  36

=====

2.
# K3Ti2P5S18
Calculated X-ray diffraction stick pattern, λ = 1.5418 Å (Cu Kα). Input: a DFT-relaxed cell (PBE, the Materials Project).
Lines closer than 0.1° are merged.

Structure:
```
data_K3Ti2P5S18
_chemical_formula_sum 'K6 Ti4 P10 S36'
_cell_length_a 12.0036
_cell_length_b 12.0036
_cell_length_c 20.8594
_cell_angle_alpha 105.36
_cell_angle_beta 105.36
_cell_angle_gamma 30.18
_space_group_name_H-M_alt 'P 1'
_space_group_IT_number 1
loop_
_space_group_symop_operation_xyz
'x,y,z'
loop_
_atom_site_label
_atom_site_type_symbol
_atom_site_fract_x
_atom_site_fract_y
_atom_site_fract_z
K1 K 0.0000 0.0000 0.0000
K2 K 0.0000 0.0000 0.5000
K3 K 0.0416 0.2699 0.1732
K4 K 0.2699 0.0416 0.6732
K5 K 0.7301 0.9584 0.3268
K6 K 0.9584 0.7301 0.8268
Ti1 Ti 0.1418 0.6236 0.6288
Ti2 Ti 0.3764 0.8582 0.8712
Ti3 Ti 0.6236 0.1418 0.1288
Ti4 Ti 0.8582 0.3764 0.3712
P1 P 0.1394 0.3481 0.3587
P2 P 0.2539 0.7461 0.7500
P3 P 0.3031 0.4514 0.4838
P4 P 0.3481 0.1394 0.8587
P5 P 0.4514 0.3031 0.9838
P6 P 0.5486 0.6969 0.0162
P7 P 0.6519 0.8606 0.1413
P8 P 0.6969 0.5486 0.5162
P9 P 0.7461 0.2539 0.2500
P10 P 0.8606 0.6519 0.6413
S1 S 0.0159 0.2492 0.4863
S2 S 0.0504 0.9110 0.6651
S3 S 0.0890 0.9496 0.8349
S4 S 0.1052 0.2214 0.8363
S5 S 0.1789 0.3994 0.2916
S6 S 0.1819 0.3844 0.6159
S7 S 0.2214 0.1052 0.3363
S8 S 0.2218 0.3573 0.9473
S9 S 0.2492 0.0159 0.9863
S10 S 0.3238 0.4859 0.0741
S11 S 0.3573 0.2218 0.4473
S12 S 0.3602 0.4876 0.7365
S13 S 0.3844 0.1819 0.1159
S14 S 0.3908 0.4659 0.4229
S15 S 0.3994 0.1789 0.7916
S16 S 0.4659 0.3908 0.9229
S17 S 0.4859 0.3238 0.5741
S18 S 0.4876 0.3602 0.2365
S19 S 0.5124 0.6398 0.7635
S20 S 0.5141 0.6762 0.4259
S21 S 0.5341 0.6092 0.0771
S22 S 0.6006 0.8211 0.2084
S23 S 0.6092 0.5341 0.5771
S24 S 0.6156 0.8181 0.8841
S25 S 0.6398 0.5124 0.2635
S26 S 0.6427 0.7782 0.5527
S27 S 0.6762 0.5141 0.9259
S28 S 0.7508 0.9841 0.0137
S29 S 0.7782 0.6427 0.0527
S30 S 0.7786 0.8948 0.6637
S31 S 0.8181 0.6156 0.3841
S32 S 0.8211 0.6006 0.7084
S33 S 0.8948 0.7786 0.1637
S34 S 0.9110 0.0504 0.1651
S35 S 0.9496 0.0890 0.3349
S36 S 0.9841 0.7508 0.5137
```

Peak list (6 most intense, 10° ≤ 2θ ≤ 90°, in order of rising 2θ)
2theta  I_rel
15.06  78
15.93  23
30.68  26
31.55  100
31.70  29
51.84  27

=====

3.
# KVP2S7
Calculated X-ray diffraction stick pattern, λ = 1.5418 Å (Cu Kα). Input: a DFT-relaxed cell (PBE, the Materials Project).
Lines closer than 0.1° are merged.

Structure:
```
data_KVP2S7
_chemical_formula_sum 'K1 V1 P2 S7'
_cell_length_a 6.5362
_cell_length_b 6.5362
_cell_length_c 6.6236
_cell_angle_alpha 95.33
_cell_angle_beta 95.33
_cell_angle_gamma 97.00
_space_group_name_H-M_alt 'P 1'
_space_group_IT_number 1
loop_
_space_group_symop_operation_xyz
'x,y,z'
loop_
_atom_site_label
_atom_site_type_symbol
_atom_site_fract_x
_atom_site_fract_y
_atom_site_fract_z
K1 K 0.0000 0.0000 0.0000
V1 V 0.6145 0.3855 0.5000
P1 P 0.0603 0.5389 0.4190
P2 P 0.4611 0.9397 0.5810
S1 S 0.1305 0.8695 0.5000
S2 S 0.2934 0.4249 0.2827
S3 S 0.4805 0.1999 0.7778
S4 S 0.5751 0.7066 0.7173
S5 S 0.5860 0.0398 0.3297
S6 S 0.8001 0.5195 0.2222
S7 S 0.9602 0.4140 0.6703
```

Peak list (6 most intense, 10° ≤ 2θ ≤ 90°, in order of rising 2θ)
2theta  I_rel
13.50  100
22.67  45
27.65  48
31.93  63
32.19  60
45.78  35